Starting from a cell relaxed with PBE, the powder diffraction line list of CeTi was computed for Cu Kα (weighted mean of Kα1 and Kα2).

Structure:
```
data_CeTi
_chemical_formula_sum 'Ce2 Ti2'
_cell_length_a 2.8550
_cell_length_b 4.4498
_cell_length_c 7.0079
_cell_angle_alpha 90.00
_cell_angle_beta 101.72
_cell_angle_gamma 90.00
_symmetry_space_group_name_H-M 'P 1 21/m 1'
_symmetry_Int_Tables_number 11
loop_
_symmetry_equiv_pos_as_xyz
'x,y,z'
'-x,-y,-z'
'-x,y+1/2,-z'
'x,-y+1/2,z'
loop_
_atom_site_label
_atom_site_fract_x
_atom_site_fract_y
_atom_site_fract_z
_atom_site_occupancy
Ce1 0.0636 0.2500 0.1281 1
Ti1 0.2148 0.7500 0.4291 1
```

Peak list (12 most intense, 2θ from 5° to 70°, low angle first)
- (0 0 1), d 6.862, I 39
- (0 1 1), d 3.733, I 46
- (1 0 0), d 2.795, I 67
- (0 1 2), d 2.717, I 100
- (0 0 3), d 2.287, I 13
- (0 2 0), d 2.225, I 31
- (1 1 -2), d 2.127, I 88
- (1 1 2), d 1.808, I 22
- (1 2 0), d 1.741, I 33
- (0 0 4), d 1.715, I 9
- (1 0 -4), d 1.616, I 21
- (0 3 2), d 1.361, I 11

***

Starting from a cell relaxed with PBE, the powder diffraction line list of LiErTl6 was computed for Cu Kα (weighted mean of Kα1 and Kα2).

Structure:
```
data_LiErTl6
_chemical_formula_sum 'Li2 Er2 Tl12'
_cell_length_a 9.4453
_cell_length_b 9.4562
_cell_length_c 4.8220
_cell_angle_alpha 90.00
_cell_angle_beta 90.00
_cell_angle_gamma 90.00
_symmetry_space_group_name_H-M 'C m m m'
_symmetry_Int_Tables_number 65
_symmetry_space_group_name_Hall '-C 2 2'
loop_
_atom_site_label
_atom_site_fract_x
_atom_site_fract_y
_atom_site_fract_z
_atom_site_occupancy
Li1 0.0000 0.0000 0.0000 1
Er1 0.0000 0.5000 0.0000 1
Tl1 0.0000 0.2480 0.5000 1
Tl2 0.2469 0.0000 0.5000 1
Tl3 0.2500 0.2500 0.0000 1
```

Peak list (12 most intense, 2θ from 5° to 70°, low angle first)
- (1 1 0), d 6.683, I 5
- (2 0 0), d 4.725, I 5
- (1 1 1), d 3.910, I 4
- (2 0 1), d 3.375, I 5
- (2 2 1), d 2.746, I 100
- (0 0 2), d 2.411, I 18
- (4 0 0), d 2.363, I 33
- (4 0 2), d 1.687, I 24
- (4 4 0), d 1.671, I 12
- (2 2 3), d 1.448, I 15
- (6 2 1), d 1.427, I 28
- (4 4 2), d 1.373, I 12

***

Starting from a cell relaxed with PBE, the powder diffraction line list of Y4Cd3Au was computed for Cu Kα (weighted mean of Kα1 and Kα2).

Structure:
```
data_Y4Cd3Au
_chemical_formula_sum 'Y4 Cd3 Au1'
_cell_length_a 3.7068
_cell_length_b 3.7068
_cell_length_c 14.8990
_cell_angle_alpha 90.00
_cell_angle_beta 90.00
_cell_angle_gamma 90.00
_symmetry_space_group_name_H-M 'P 4/m m m'
_symmetry_Int_Tables_number 123
_symmetry_space_group_name_Hall '-P 4 2'
loop_
_atom_site_label
_atom_site_fract_x
_atom_site_fract_y
_atom_site_fract_z
_atom_site_occupancy
Y1 0.0000 0.0000 0.1158 1
Y2 0.0000 0.0000 0.3719 1
Cd1 0.5000 0.5000 0.2473 1
Cd2 0.5000 0.5000 0.5000 1
Au1 0.5000 0.5000 0.0000 1
```

Peak list (12 most intense, 2θ from 5° to 70°, low angle first)
- (0 0 1), d 14.899, I 8
- (0 0 2), d 7.449, I 2
- (0 0 4), d 3.725, I 2
- (1 0 0), d 3.707, I 3
- (1 1 0), d 2.625, I 100
- (1 0 5), d 2.321, I 2
- (1 1 4), d 2.144, I 2
- (0 0 8), d 1.862, I 6
- (2 0 0), d 1.853, I 12
- (2 0 4), d 1.659, I 1
- (1 1 8), d 1.518, I 11
- (2 1 4), d 1.515, I 24

***

Starting from a cell relaxed with PBE, the powder diffraction line list of Na2Si2S5 was computed for Cu Kα (weighted mean of Kα1 and Kα2).

Structure:
```
data_Na2Si2S5
_chemical_formula_sum 'Na16 Si16 S40'
_cell_length_a 12.8330
_cell_length_b 12.8919
_cell_length_c 10.5212
_cell_angle_alpha 90.00
_cell_angle_beta 90.00
_cell_angle_gamma 90.00
_symmetry_space_group_name_H-M 'C m c m'
_symmetry_Int_Tables_number 63
_symmetry_space_group_name_Hall '-C 2c 2'
loop_
_atom_site_label
_atom_site_fract_x
_atom_site_fract_y
_atom_site_fract_z
_atom_site_occupancy
Na1 0.1508 0.0000 0.0000 1
Na2 0.1616 0.2587 0.2500 1
Si1 0.0000 0.2525 0.5854 1
Si2 0.1350 0.4452 0.7500 1
S1 0.0000 0.1536 0.7500 1
S2 0.0000 0.1601 0.0761 1
S3 0.0000 0.4564 0.2500 1
S4 0.1397 0.3471 0.5827 1
S5 0.2341 0.0379 0.7500 1
```

Peak list (12 most intense, 2θ from 5° to 70°, low angle first)
- (1 1 1), d 6.881, I 49
- (2 2 0), d 4.550, I 92
- (0 2 2), d 4.070, I 56
- (1 3 2), d 3.222, I 32
- (0 2 3), d 3.081, I 82
- (3 3 0), d 3.032, I 100
- (3 3 1), d 2.913, I 64
- (4 2 1), d 2.772, I 46
- (3 1 3), d 2.655, I 49
- (4 2 2), d 2.520, I 29
- (0 2 4), d 2.435, I 27
- (3 5 3), d 1.869, I 57